Theoretical XRD peak list of SmNpSc for CuKα, from a GGA-PBE-relaxed structure.
No peak broadening, texture or thermal motion is included.

Main lines, in order of rising 2θ (10 to 80 degrees two-theta):
11.25 deg, d = 7.868 Å, I = 100.0
20.08 deg, d = 4.421 Å, I = 55.0
26.13 deg, d = 3.411 Å, I = 53.3
33.76 deg, d = 2.655 Å, I = 69.9
34.19 deg, d = 2.623 Å, I = 43.3
35.40 deg, d = 2.536 Å, I = 56.3

Cell and atoms:
abc: 8.1003 8.1003 5.7609
angles: 95.75 95.75 24.92
Positions (direct):
Sm (0.1014, 0.1014, 0.3473)
Sm (0.8986, 0.8986, 0.6527)
Np (0.2423, 0.2423, 0.8583)
Np (0.7577, 0.7577, 0.1417)
Sc (0.4172, 0.4172, 0.1548)
Sc (0.5828, 0.5828, 0.8452)

---

Theoretical XRD peak list of Pa2Ga3Au2 for CuKα, from a GGA-PBE-relaxed structure.
No peak broadening, texture or thermal motion is included.

Main lines, in order of rising 2θ (10 to 80 degrees two-theta):
28.23 deg, d = 3.161 Å, I = 50.3
33.69 deg, d = 2.660 Å, I = 78.9
34.27 deg, d = 2.617 Å, I = 100.0
38.27 deg, d = 2.352 Å, I = 36.8
38.94 deg, d = 2.313 Å, I = 65.0
40.47 deg, d = 2.229 Å, I = 50.7

Cell and atoms:
abc: 5.5531 5.5531 6.6336
angles: 106.09 106.09 47.33
Positions (direct):
Pa (0.1465, 0.1465, 0.2735)
Pa (0.8535, 0.8535, 0.7265)
Ga (0.4025, 0.4025, 0.0736)
Ga (0.5000, 0.5000, 0.5000)
Ga (0.5975, 0.5975, 0.9264)
Au (0.1608, 0.1608, 0.7463)
Au (0.8392, 0.8392, 0.2537)

---

Theoretical XRD peak list of Nb2Ag2Br2O5 for CuKα, from a GGA-PBE-relaxed structure.
No peak broadening, texture or thermal motion is included.

Main lines, in order of rising 2θ (10 to 80 degrees two-theta):
26.64 deg, d = 3.347 Å, I = 84.7
32.52 deg, d = 2.753 Å, I = 100.0
32.83 deg, d = 2.728 Å, I = 58.1
42.52 deg, d = 2.126 Å, I = 73.1
46.66 deg, d = 1.947 Å, I = 54.5
54.54 deg, d = 1.683 Å, I = 43.3

Cell and atoms:
abc: 13.6668 13.6668 13.6668
angles: 163.62 163.62 23.24
Positions (direct):
Nb (0.0715, 0.0715, 0.0000)
Nb (0.9285, 0.9285, 0.0000)
Ag (0.3256, 0.3256, 0.0000)
Ag (0.6744, 0.6744, 0.0000)
Br (0.1891, 0.1891, 0.0000)
Br (0.8109, 0.8109, 0.0000)
O (0.0000, 0.0000, 0.0000)
O (0.0840, 0.5840, 0.5000)
O (0.4160, 0.9160, 0.5000)
O (0.5840, 0.0840, 0.5000)
O (0.9160, 0.4160, 0.5000)

---

Theoretical XRD peak list of Hf2Ti4Sn3 for CuKα, from a GGA-PBE-relaxed structure.
No peak broadening, texture or thermal motion is included.

Main lines, in order of rising 2θ (10 to 80 degrees two-theta):
31.43 deg, d = 2.846 Å, I = 96.3
33.14 deg, d = 2.703 Å, I = 73.1
34.98 deg, d = 2.565 Å, I = 100.0
35.53 deg, d = 2.527 Å, I = 94.1
37.52 deg, d = 2.397 Å, I = 91.8
40.60 deg, d = 2.222 Å, I = 79.7

Cell and atoms:
abc: 8.1237 8.1237 8.5668
angles: 90.00 90.00 138.28
Positions (direct):
Hf (0.0749, 0.9251, 0.8840)
Hf (0.4251, 0.5749, 0.3840)
Hf (0.5749, 0.4251, 0.6160)
Hf (0.9251, 0.0749, 0.1160)
Ti (0.1630, 0.3370, 0.7500)
Ti (0.1913, 0.8087, 0.4880)
Ti (0.3087, 0.6913, 0.9880)
Ti (0.3370, 0.1630, 0.2500)
Ti (0.6630, 0.8370, 0.7500)
Ti (0.6913, 0.3087, 0.0120)
Ti (0.8087, 0.1913, 0.5120)
Ti (0.8370, 0.6630, 0.2500)
Sn (0.0000, 0.0000, 0.5000)
Sn (0.0223, 0.4777, 0.2500)
Sn (0.4777, 0.0223, 0.7500)
Sn (0.5000, 0.5000, 0.0000)
Sn (0.5223, 0.9777, 0.2500)
Sn (0.9777, 0.5223, 0.7500)

---

Theoretical XRD peak list of Tb3YIn for CuKα, from a GGA-PBE-relaxed structure.
No peak broadening, texture or thermal motion is included.

Main lines, in order of rising 2θ (10 to 80 degrees two-theta):
31.62 deg, d = 2.830 Å, I = 100.0
35.44 deg, d = 2.533 Å, I = 18.3
37.28 deg, d = 2.412 Å, I = 32.1
52.38 deg, d = 1.747 Å, I = 23.8
61.26 deg, d = 1.513 Å, I = 14.6
63.70 deg, d = 1.461 Å, I = 26.4

Cell and atoms:
abc: 12.8907 12.8907 4.8207
angles: 90.00 90.00 158.41
Positions (direct):
Tb (0.0496, 0.9504, 0.7500)
Tb (0.2499, 0.7501, 0.7500)
Tb (0.4479, 0.5521, 0.7500)
Tb (0.5521, 0.4479, 0.2500)
Tb (0.7501, 0.2499, 0.2500)
Tb (0.9504, 0.0496, 0.2500)
Y (0.1497, 0.8503, 0.2500)
Y (0.8503, 0.1497, 0.7500)
In (0.3473, 0.6527, 0.2500)
In (0.6527, 0.3473, 0.7500)

---

Theoretical XRD peak list of Pa2Si4W3 for CuKα, from a GGA-PBE-relaxed structure.
No peak broadening, texture or thermal motion is included.

Main lines, in order of rising 2θ (10 to 80 degrees two-theta):
29.24 deg, d = 3.055 Å, I = 90.6
34.42 deg, d = 2.605 Å, I = 88.1
36.99 deg, d = 2.430 Å, I = 100.0
37.56 deg, d = 2.394 Å, I = 90.8
41.50 deg, d = 2.176 Å, I = 58.8
41.80 deg, d = 2.161 Å, I = 59.0

Cell and atoms:
abc: 6.9140 6.9398 6.8222
angles: 90.00 109.94 90.00
Positions (direct):
Pa (0.1899, 0.1662, 0.0579)
Pa (0.1899, 0.3338, 0.5579)
Pa (0.8101, 0.6662, 0.4421)
Pa (0.8101, 0.8338, 0.9421)
Si (0.0906, 0.5462, 0.8698)
Si (0.0906, 0.9538, 0.3698)
Si (0.4937, 0.6340, 0.6329)
Si (0.4937, 0.8660, 0.1329)
Si (0.5063, 0.1340, 0.8671)
Si (0.5063, 0.3660, 0.3671)
Si (0.9094, 0.0462, 0.6302)
Si (0.9094, 0.4538, 0.1302)
W (0.2424, 0.6608, 0.2549)
W (0.2424, 0.8392, 0.7549)
W (0.5000, 0.0000, 0.5000)
W (0.5000, 0.5000, 0.0000)
W (0.7576, 0.1608, 0.2451)
W (0.7576, 0.3392, 0.7451)

---

Number 5 is which compound?
Tb3YIn